No. 1
For Tb3GaPd, a PBE-relaxed structure gives the calculated powder diffractogram in this record (copper Kα).

Principal peaks in the range 2θ = 15–90°, by intensity:
d_spacing  two_theta  I_rel
2.734  32.76  100
2.545  35.26  95
3.379  26.38  86
2.409  37.33  83
2.591  34.62  58
2.483  36.18  50
2.389  37.65  36
1.730  52.94  32
2.635  34.02  30
1.770  51.64  21
1.979  45.85  20
1.610  57.23  20

Cell and atoms:
abc: 8.0754 8.0754 8.0476
angles: 90.06 90.06 85.33
Positions (direct):
Tb 0.0027 0.8032 0.5828
Tb 0.0761 0.4239 0.8000
Tb 0.1968 0.9973 0.9172
Tb 0.3025 0.4994 0.4170
Tb 0.4239 0.0761 0.3000
Tb 0.4994 0.3025 0.9170
Tb 0.5006 0.6975 0.0830
Tb 0.5761 0.9239 0.7000
Tb 0.6975 0.5006 0.5830
Tb 0.8032 0.0027 0.0828
Tb 0.9239 0.5761 0.2000
Tb 0.9973 0.1968 0.4172
Ga 0.1623 0.8377 0.2500
Ga 0.3395 0.6605 0.7500
Ga 0.6605 0.3395 0.2500
Ga 0.8377 0.1623 0.7500
Pd 0.1886 0.3069 0.1269
Pd 0.3069 0.1886 0.6269
Pd 0.6931 0.8114 0.3731
Pd 0.8114 0.6931 0.8731

---

No. 2
For Tb6Ga19Pd3, a PBE-relaxed structure gives the calculated powder diffractogram in this record (copper Kα).

Principal peaks in the range 2θ = 15–90°, by intensity:
d_spacing  two_theta  I_rel
2.568  34.94  100
2.537  35.37  95
2.624  34.18  73
2.117  42.71  61
2.080  43.51  37
1.484  62.61  25
2.967  30.12  25
2.579  34.78  21
1.617  56.96  20
2.503  35.87  20
2.429  37.01  17
2.150  42.02  16

Cell and atoms:
abc: 8.2039 8.2039 16.1541
angles: 102.09 102.09 29.91
Positions (direct):
Tb 0.0000 0.0000 0.0000
Tb 0.1551 0.1551 0.8371
Tb 0.3395 0.3395 0.6580
Tb 0.4999 0.4999 0.5000
Tb 0.6599 0.6599 0.3400
Tb 0.8384 0.8384 0.1598
Ga 0.0188 0.0188 0.3586
Ga 0.0662 0.0662 0.2092
Ga 0.1467 0.1467 0.4812
Ga 0.2038 0.2038 0.0649
Ga 0.2585 0.2585 0.2585
Ga 0.2950 0.2950 0.4309
Ga 0.3516 0.3516 0.0160
Ga 0.4328 0.4328 0.2953
Ga 0.4779 0.4779 0.1425
Ga 0.5147 0.5147 0.8477
Ga 0.5703 0.5703 0.7019
Ga 0.6410 0.6410 0.9743
Ga 0.6441 0.6441 0.1423
Ga 0.7042 0.7042 0.5707
Ga 0.7450 0.7450 0.7457
Ga 0.7913 0.7913 0.9224
Ga 0.8541 0.8541 0.5181
Ga 0.9223 0.9223 0.7924
Ga 0.9798 0.9798 0.6459
Pd 0.1406 0.1406 0.6396
Pd 0.3571 0.3571 0.8597
Pd 0.8574 0.8574 0.3579

---

No. 3
For TbGa8Pd4, a PBE-relaxed structure gives the calculated powder diffractogram in this record (copper Kα).

Principal peaks in the range 2θ = 15–90°, by intensity:
d_spacing  two_theta  I_rel
2.357  38.18  100
2.247  40.12  78
2.214  40.75  63
2.081  43.49  57
2.608  34.38  40
1.304  72.47  27
1.980  45.82  27
1.481  62.73  20
1.614  57.07  19
1.285  73.76  17
1.124  86.64  16
1.179  81.70  16

Cell and atoms:
abc: 6.8535 6.8535 6.8535
angles: 99.50 99.50 132.05
Positions (direct):
Tb 0.0000 0.0000 0.0000
Ga 0.0000 0.3485 0.3485
Ga 0.0000 0.6515 0.6515
Ga 0.2835 0.5000 0.7835
Ga 0.3485 0.0000 0.3485
Ga 0.5000 0.2835 0.7835
Ga 0.5000 0.7165 0.2165
Ga 0.6515 0.0000 0.6515
Ga 0.7165 0.5000 0.2165
Pd 0.0000 0.0000 0.5000
Pd 0.0000 0.5000 0.0000
Pd 0.5000 0.0000 0.0000
Pd 0.5000 0.5000 0.5000

---

No. 4
For Tb2Ga4Pd5, a PBE-relaxed structure gives the calculated powder diffractogram in this record (copper Kα).

Principal peaks in the range 2θ = 15–90°, by intensity:
d_spacing  two_theta  I_rel
2.286  39.41  100
2.423  37.10  86
2.414  37.25  74
3.009  29.69  69
1.960  46.32  46
2.061  43.93  38
1.522  60.88  35
3.547  25.11  35
2.694  33.26  34
1.367  68.64  29
1.121  86.86  29
2.346  38.36  25

Cell and atoms:
abc: 9.1382 8.3311 5.4721
angles: 79.99 63.87 36.14
Positions (direct):
Tb 0.1278 0.1278 0.8722
Tb 0.8722 0.8722 0.1278
Ga 0.2142 0.5255 0.4745
Ga 0.4745 0.7858 0.2142
Ga 0.5255 0.2142 0.7858
Ga 0.7858 0.4745 0.5255
Pd 0.0000 0.0000 0.5000
Pd 0.2500 0.2500 0.2500
Pd 0.5000 0.5000 0.0000
Pd 0.5000 0.5000 0.5000
Pd 0.7500 0.7500 0.7500

---

No. 5
For TbGa4Pd4, a PBE-relaxed structure gives the calculated powder diffractogram in this record (copper Kα).

Principal peaks in the range 2θ = 15–90°, by intensity:
d_spacing  two_theta  I_rel
2.597  34.54  100
2.091  43.27  28
1.657  55.44  23
3.046  29.32  19
2.151  42.00  17
1.121  86.94  16
1.521  60.90  13
1.925  47.22  13
1.524  60.78  12
2.035  44.53  9
1.230  77.62  8
1.143  84.80  7

Cell and atoms:
abc: 6.0846 6.0846 8.6361
angles: 90.00 90.00 90.00
Positions (direct):
Tb 0.2500 0.7500 0.2500
Tb 0.7500 0.2500 0.7500
Ga 0.0395 0.2500 0.0624
Ga 0.2500 0.0395 0.5624
Ga 0.2500 0.4605 0.5624
Ga 0.4605 0.2500 0.0624
Ga 0.5395 0.7500 0.9376
Ga 0.7500 0.5395 0.4376
Ga 0.7500 0.9605 0.4376
Ga 0.9605 0.7500 0.9376
Pd 0.0213 0.2500 0.3575
Pd 0.2500 0.0213 0.8575
Pd 0.2500 0.4787 0.8575
Pd 0.4787 0.2500 0.3575
Pd 0.5213 0.7500 0.6425
Pd 0.7500 0.5213 0.1425
Pd 0.7500 0.9787 0.1425
Pd 0.9787 0.7500 0.6425

---

No. 6
For TbZnGaPd3, a PBE-relaxed structure gives the calculated powder diffractogram in this record (copper Kα).

Principal peaks in the range 2θ = 15–90°, by intensity:
d_spacing  two_theta  I_rel
2.147  42.09  100
2.861  31.26  76
2.587  34.68  57
2.674  33.51  43
2.064  43.86  40
2.213  40.77  29
2.079  43.54  28
2.108  42.91  22
3.247  27.47  21
1.470  63.27  20
2.196  41.10  17
1.280  74.09  16

Cell and atoms:
abc: 6.8652 6.8652 5.7234
angles: 90.00 90.00 123.54
Positions (direct):
Tb 0.1944 0.8056 0.7500
Tb 0.8056 0.1944 0.2500
Zn 0.4337 0.5663 0.7500
Zn 0.5663 0.4337 0.2500
Ga 0.1369 0.8631 0.2500
Ga 0.8631 0.1369 0.7500
Pd 0.2108 0.2108 0.0000
Pd 0.2108 0.2108 0.5000
Pd 0.3409 0.6591 0.2500
Pd 0.6591 0.3409 0.7500
Pd 0.7892 0.7892 0.0000
Pd 0.7892 0.7892 0.5000

---

No. 7
For GaTe6Pd2, a PBE-relaxed structure gives the calculated powder diffractogram in this record (copper Kα).

Principal peaks in the range 2θ = 15–90°, by intensity:
d_spacing  two_theta  I_rel
3.082  28.97  100
2.366  38.03  55
1.902  47.81  55
4.524  19.62  50
2.861  31.26  44
2.262  39.85  24
2.105  42.98  22
1.695  54.09  18
1.552  59.58  15
1.143  84.79  14
1.541  60.04  14
1.249  76.23  14

Cell and atoms:
abc: 6.3979 6.3979 12.6275
angles: 90.00 90.00 90.00
Positions (direct):
Ga 0.0000 0.0000 0.0000
Ga 0.5000 0.5000 0.5000
Te 0.1794 0.1794 0.5000
Te 0.1953 0.1953 0.1690
Te 0.1953 0.1953 0.8310
Te 0.3047 0.6953 0.3310
Te 0.3047 0.6953 0.6690
Te 0.3206 0.6794 0.0000
Te 0.6794 0.3206 0.0000
Te 0.6953 0.3047 0.3310
Te 0.6953 0.3047 0.6690
Te 0.8047 0.8047 0.1690
Te 0.8047 0.8047 0.8310
Te 0.8206 0.8206 0.5000
Pd 0.0000 0.0000 0.3294
Pd 0.0000 0.0000 0.6706
Pd 0.5000 0.5000 0.1706
Pd 0.5000 0.5000 0.8294

---

No. 8
For Ga2Te4Pd, a PBE-relaxed structure gives the calculated powder diffractogram in this record (copper Kα).

Principal peaks in the range 2θ = 15–90°, by intensity:
d_spacing  two_theta  I_rel
3.445  25.86  100
2.157  41.88  48
1.745  52.43  26
2.024  44.78  20
1.925  47.22  18
1.193  80.55  13
1.395  67.11  12
1.430  65.22  9
1.275  74.43  8
4.314  20.59  6
2.385  37.72  5
2.862  31.25  5

Cell and atoms:
abc: 5.7245 5.7245 6.5641
angles: 90.00 90.00 90.00
Positions (direct):
Ga 0.0000 0.5000 0.0000
Ga 0.5000 0.0000 0.0000
Te 0.2339 0.2339 0.7378
Te 0.2339 0.7661 0.2622
Te 0.7661 0.2339 0.2622
Te 0.7661 0.7661 0.7378
Pd 0.5000 0.5000 0.5000

---

No. 9
For GaTePd3, a PBE-relaxed structure gives the calculated powder diffractogram in this record (copper Kα).

Principal peaks in the range 2θ = 15–90°, by intensity:
d_spacing  two_theta  I_rel
2.319  38.83  100
2.432  36.96  60
2.103  43.02  30
3.401  26.20  20
2.108  42.91  16
1.983  45.77  16
2.406  37.37  16
1.588  58.11  14
1.836  49.66  13
3.807  23.36  12
1.267  74.96  11
1.904  47.78  11

Cell and atoms:
abc: 3.1749 7.6146 7.5660
angles: 90.00 90.00 90.00
Positions (direct):
Ga 0.2500 0.2500 0.0288
Ga 0.7500 0.7500 0.9712
Te 0.2500 0.2500 0.5987
Te 0.7500 0.7500 0.4013
Pd 0.2500 0.5556 0.1627
Pd 0.2500 0.7500 0.7060
Pd 0.2500 0.9444 0.1627
Pd 0.7500 0.0556 0.8373
Pd 0.7500 0.2500 0.2940
Pd 0.7500 0.4444 0.8373

---

No. 10
For ThGa3Pd3, a PBE-relaxed structure gives the calculated powder diffractogram in this record (copper Kα).

Principal peaks in the range 2θ = 15–90°, by intensity:
d_spacing  two_theta  I_rel
3.036  29.42  100
2.339  38.50  97
2.247  40.13  59
2.202  40.99  47
2.478  36.26  39
1.805  50.56  34
1.996  45.45  34
2.535  35.41  20
2.044  44.32  19
1.418  65.89  17
1.518  61.04  16
1.280  74.08  16

Cell and atoms:
abc: 7.5010 7.5010 7.5010
angles: 54.88 54.88 54.88
Positions (direct):
Th 0.1605 0.1605 0.1605
Th 0.8395 0.8395 0.8395
Ga 0.0370 0.6047 0.2417
Ga 0.2417 0.0370 0.6047
Ga 0.3953 0.7583 0.9630
Ga 0.6047 0.2417 0.0370
Ga 0.7583 0.9630 0.3953
Ga 0.9630 0.3953 0.7583
Pd 0.1936 0.6761 0.4270
Pd 0.3239 0.5730 0.8064
Pd 0.4270 0.1936 0.6761
Pd 0.5730 0.8064 0.3239
Pd 0.6761 0.4270 0.1936
Pd 0.8064 0.3239 0.5730

---

No. 11
For Th2GaPd, a PBE-relaxed structure gives the calculated powder diffractogram in this record (copper Kα).

Principal peaks in the range 2θ = 15–90°, by intensity:
d_spacing  two_theta  I_rel
2.852  31.37  100
3.444  25.87  37
2.403  37.42  29
2.809  31.86  27
2.792  32.06  26
2.905  30.78  24
2.138  42.27  24
2.348  38.34  19
2.027  44.72  18
2.338  38.51  17
1.335  70.52  14
1.471  63.22  13

Cell and atoms:
abc: 6.1656 4.2761 8.1064
angles: 90.00 109.55 90.00
Positions (direct):
Th 0.2002 0.2500 0.4088
Th 0.2115 0.2500 0.9429
Th 0.7885 0.7500 0.0571
Th 0.7998 0.7500 0.5913
Ga 0.3396 0.7500 0.7086
Ga 0.6604 0.2500 0.2914
Pd 0.3734 0.7500 0.2219
Pd 0.6266 0.2500 0.7781

---

No. 12
For ThGa4Pd2, a PBE-relaxed structure gives the calculated powder diffractogram in this record (copper Kα).

Principal peaks in the range 2θ = 15–90°, by intensity:
d_spacing  two_theta  I_rel
2.539  35.36  100
2.239  40.28  26
2.328  38.68  18
1.381  67.86  16
2.436  36.90  14
1.343  70.04  14
1.614  57.07  12
1.327  71.03  12
2.628  34.12  11
3.081  28.98  11
1.648  55.80  10
3.982  22.32  8

Cell and atoms:
abc: 17.4169 4.4782 6.5920
angles: 90.00 90.00 90.00
Positions (direct):
Th 0.1384 0.2500 0.0057
Th 0.3616 0.7500 0.5057
Th 0.6384 0.2500 0.4943
Th 0.8616 0.7500 0.9943
Ga 0.0370 0.7500 0.8212
Ga 0.0714 0.2500 0.4861
Ga 0.1833 0.7500 0.3150
Ga 0.1897 0.7500 0.7123
Ga 0.3103 0.2500 0.2123
Ga 0.3167 0.2500 0.8150
Ga 0.4286 0.7500 0.9861
Ga 0.4630 0.2500 0.3212
Ga 0.5370 0.7500 0.6788
Ga 0.5714 0.2500 0.0139
Ga 0.6833 0.7500 0.1850
Ga 0.6897 0.7500 0.7877
Ga 0.8103 0.2500 0.2877
Ga 0.8167 0.2500 0.6850
Ga 0.9286 0.7500 0.5139
Ga 0.9630 0.2500 0.1788
Pd 0.0342 0.7500 0.2396
Pd 0.2168 0.2500 0.5187
Pd 0.2832 0.7500 0.0187
Pd 0.4658 0.2500 0.7396
Pd 0.5342 0.7500 0.2604
Pd 0.7168 0.2500 0.9813
Pd 0.7832 0.7500 0.4813
Pd 0.9658 0.2500 0.7604